This entry pairs a crystal structure of Pm10Sm4Th with its calculated PXRD pattern. Radiation: Cu Kα X-rays. Structure: a cell relaxed with PBE.

Structural model:
a b c (Å): 9.027 9.027 9.027
angles (deg): 101.94 101.94 125.89
Positions (direct):
Pm  0.004  0.794  0.210
Pm  0.206  0.415  0.210
Pm  0.206  0.996  0.790
Pm  0.250  0.750  0.500
Pm  0.415  0.206  0.210
Pm  0.585  0.794  0.790
Pm  0.750  0.250  0.500
Pm  0.794  0.004  0.210
Pm  0.794  0.585  0.790
Pm  0.996  0.206  0.790
Sm  0.275  0.275  0.551
Sm  0.275  0.725  0.000
Sm  0.725  0.275  0.000
Sm  0.725  0.725  0.449
Th  0.500  0.500  0.000

Principal peaks in the range 5 to 70 degrees two-theta, in order of falling intensity:
- 31.14 deg, I 100
- 31.47 deg, I 97
- 30.36 deg, I 65
- 40.18 deg, I 49
- 33.12 deg, I 45
- 26.78 deg, I 41